No. 1
Computed powder XRD pattern
Compound: Nd3GdSi4
Radiation: a wavelength of 1.5418 Å
Structure: DFT lattice parameters and positions (PBE)
No peak broadening, texture or thermal motion is included.

```
data_Nd3GdSi4
_cell_length_a 5.8869
_cell_length_b 3.9254
_cell_length_c 8.1955
_cell_angle_alpha 90.00
_cell_angle_beta 90.26
_cell_angle_gamma 90.00
_space_group_name_H-M_alt 'P 1 m 1'
_space_group_IT_number 6
_space_group_name_Hall 'P -2y'
loop_
_atom_site_label
_atom_site_type_symbol
_atom_site_fract_x
_atom_site_fract_y
_atom_site_fract_z
Nd1 Nd 0.0000 0.0000 0.0000
Nd2 Nd 0.2285 0.5000 0.3595
Nd3 Nd 0.7280 0.0000 0.5014
Gd1 Gd 0.4996 0.5000 0.8599
Si1 Si 0.2402 0.0000 0.6476
Si2 Si 0.4912 0.0000 0.1402
Si3 Si 0.7358 0.5000 0.2136
Si4 Si 0.9923 0.5000 0.7174
```

Largest 10 diffraction maxima, by angle, 2θ from 10° to 90°:
- 2θ = 21.69°, I 25.3
- 2θ = 27.31°, I 38.5
- 2θ = 29.44°, I 100.0
- 2θ = 31.56°, I 73.3
- 2θ = 32.32°, I 82.0
- 2θ = 35.14°, I 43.2
- 2θ = 36.19°, I 24.3
- 2θ = 39.83°, I 39.5
- 2θ = 46.26°, I 24.3
- 2θ = 57.55°, I 31.5

=====

No. 2
Computed powder XRD pattern
Compound: Cu2Ag7
Radiation: a wavelength of 1.5418 Å
Structure: DFT lattice parameters and positions (PBE)
No peak broadening, texture or thermal motion is included.

```
data_Cu2Ag7
_cell_length_a 14.7442
_cell_length_b 2.9087
_cell_length_c 7.0205
_cell_angle_alpha 90.00
_cell_angle_beta 92.02
_cell_angle_gamma 90.00
_space_group_name_H-M_alt 'C 1 2/m 1'
_space_group_IT_number 12
_space_group_name_Hall '-C 2y'
loop_
_atom_site_label
_atom_site_type_symbol
_atom_site_fract_x
_atom_site_fract_y
_atom_site_fract_z
Cu1 Cu 0.1108 0.0000 0.1643
Ag1 Ag 0.0000 0.0000 0.5000
Ag2 Ag 0.0541 0.5000 0.8419
Ag3 Ag 0.1646 0.5000 0.4877
Ag4 Ag 0.2249 0.0000 0.8328
```

Largest 10 diffraction maxima, by angle, 2θ from 10° to 90°:
- 2θ = 38.43°, I 100.0
- 2θ = 44.07°, I 33.4
- 2θ = 45.84°, I 14.7
- 2θ = 64.02°, I 5.3
- 2θ = 65.41°, I 9.6
- 2θ = 65.53°, I 9.3
- 2θ = 77.23°, I 17.5
- 2θ = 77.37°, I 5.6
- 2θ = 79.79°, I 7.9
- 2θ = 82.26°, I 7.4

=====

No. 3
Computed powder XRD pattern
Compound: Cs3Nd2Cl9
Radiation: a wavelength of 1.5418 Å
Structure: DFT lattice parameters and positions (PBE)
No peak broadening, texture or thermal motion is included.

```
data_Cs3Nd2Cl9
_cell_length_a 7.6948
_cell_length_b 7.6948
_cell_length_c 9.5987
_cell_angle_alpha 90.00
_cell_angle_beta 90.00
_cell_angle_gamma 120.00
_space_group_name_H-M_alt 'P 3 2 1'
_space_group_IT_number 150
_space_group_name_Hall 'P 3 2"'
loop_
_atom_site_label
_atom_site_type_symbol
_atom_site_fract_x
_atom_site_fract_y
_atom_site_fract_z
Cs1 Cs 0.0000 0.0000 0.0000
Cs2 Cs 0.3333 0.6667 0.6449
Nd1 Nd 0.3333 0.6667 0.1839
Cl1 Cl 0.0000 0.5035 0.0000
Cl2 Cl 0.1626 0.3304 0.3280
```

Largest 10 diffraction maxima, by angle, 2θ from 10° to 90°:
- 2θ = 13.29°, I 17.6
- 2θ = 16.19°, I 23.2
- 2θ = 22.83°, I 81.8
- 2θ = 23.12°, I 78.3
- 2θ = 28.35°, I 33.4
- 2θ = 32.72°, I 100.0
- 2θ = 40.44°, I 37.3
- 2θ = 40.62°, I 18.3
- 2θ = 46.64°, I 31.6
- 2θ = 47.25°, I 34.3

=====

No. 4
Computed powder XRD pattern
Compound: Ta4Co2PdS12
Radiation: a wavelength of 1.5418 Å
Structure: DFT lattice parameters and positions (PBE)
No peak broadening, texture or thermal motion is included.

```
data_Ta4Co2PdS12
_cell_length_a 13.1225
_cell_length_b 3.3118
_cell_length_c 18.6375
_cell_angle_alpha 90.00
_cell_angle_beta 109.75
_cell_angle_gamma 90.00
_space_group_name_H-M_alt 'C 1 2/m 1'
_space_group_IT_number 12
_space_group_name_Hall '-C 2y'
loop_
_atom_site_label
_atom_site_type_symbol
_atom_site_fract_x
_atom_site_fract_y
_atom_site_fract_z
Ta1 Ta 0.1245 0.0000 0.1506
Ta2 Ta 0.2454 0.0000 0.4082
Co1 Co 0.2321 0.5000 0.2834
Pd1 Pd 0.0000 0.5000 0.0000
S1 S 0.0247 0.5000 0.8807
S2 S 0.1109 0.0000 0.2817
S3 S 0.1281 0.0000 0.6054
S4 S 0.1360 0.5000 0.4499
S5 S 0.1854 0.5000 0.0747
S6 S 0.1920 0.5000 0.7640
```

Largest 10 diffraction maxima, by angle, 2θ from 10° to 90°:
- 2θ = 13.50°, I 100.0
- 2θ = 14.34°, I 23.2
- 2θ = 14.49°, I 23.4
- 2θ = 20.23°, I 11.3
- 2θ = 33.08°, I 11.0
- 2θ = 33.19°, I 23.2
- 2θ = 34.08°, I 11.4
- 2θ = 38.25°, I 11.4
- 2θ = 41.49°, I 15.1
- 2θ = 50.41°, I 11.2

=====

No. 5
Computed powder XRD pattern
Compound: Er3Tm3BiSbOs
Radiation: a wavelength of 1.5418 Å
Structure: DFT lattice parameters and positions (PBE)
No peak broadening, texture or thermal motion is included.

```
data_Er3Tm3BiSbOs
_cell_length_a 8.1631
_cell_length_b 8.1631
_cell_length_c 4.1874
_cell_angle_alpha 90.00
_cell_angle_beta 90.00
_cell_angle_gamma 120.00
_space_group_name_H-M_alt 'P -6'
_space_group_IT_number 174
_space_group_name_Hall 'P -6'
loop_
_atom_site_label
_atom_site_type_symbol
_atom_site_fract_x
_atom_site_fract_y
_atom_site_fract_z
Er1 Er 0.0071 0.6156 0.0000
Tm1 Tm 0.0013 0.2350 0.5000
Bi1 Bi 0.6667 0.3333 0.5000
Sb1 Sb 0.3333 0.6667 0.5000
Os1 Os 0.0000 0.0000 0.0000
```

Largest 10 diffraction maxima, by angle, 2θ from 10° to 90°:
- 2θ = 12.52°, I 16.9
- 2θ = 30.59°, I 100.0
- 2θ = 33.17°, I 84.3
- 2θ = 33.54°, I 54.2
- 2θ = 38.19°, I 45.4
- 2θ = 40.03°, I 59.6
- 2θ = 43.21°, I 29.1
- 2θ = 55.78°, I 25.7
- 2θ = 59.02°, I 25.8
- 2θ = 61.29°, I 34.0

=====

No. 6
Computed powder XRD pattern
Compound: PrH7C8SO9
Radiation: a wavelength of 1.5418 Å
Structure: DFT lattice parameters and positions (PBE)
No peak broadening, texture or thermal motion is included.

```
data_PrH7C8SO9
_cell_length_a 6.3000
_cell_length_b 8.7282
_cell_length_c 10.6676
_cell_angle_alpha 91.46
_cell_angle_beta 99.61
_cell_angle_gamma 107.90
_space_group_name_H-M_alt 'P -1'
_space_group_IT_number 2
_space_group_name_Hall '-P 1'
loop_
_atom_site_label
_atom_site_type_symbol
_atom_site_fract_x
_atom_site_fract_y
_atom_site_fract_z
Pr1 Pr 0.1482 0.2374 0.1106
H1 H 0.1770 0.1507 0.5561
H2 H 0.3273 0.9501 0.1144
H3 H 0.3379 0.6473 0.7812
H4 H 0.3519 0.6467 0.5815
H5 H 0.3884 0.5910 0.3579
H6 H 0.4073 0.4988 0.8412
H7 H 0.4512 0.9086 0.8171
C1 C 0.0177 0.2259 0.6993
C2 C 0.0273 0.7703 0.6541
C3 C 0.0467 0.2011 0.5751
C4 C 0.0849 0.7529 0.5263
C5 C 0.1375 0.6965 0.2749
C6 C 0.1628 0.6528 0.1424
C7 C 0.2473 0.6823 0.5030
C8 C 0.2686 0.6515 0.3779
S1 S 0.2155 0.1774 0.8184
O1 O 0.0946 0.0477 0.8931
O2 O 0.1551 0.7511 0.7564
O3 O 0.1559 0.1996 0.3397
O4 O 0.1674 0.7553 0.0587
O5 O 0.1786 0.5148 0.1215
O6 O 0.3170 0.3241 0.9095
O7 O 0.3721 0.1324 0.7524
O8 O 0.3934 0.0687 0.1361
O9 O 0.4610 0.5966 0.7950
```

Largest 10 diffraction maxima, by angle, 2θ from 10° to 90°:
- 2θ = 15.03°, I 80.7
- 2θ = 15.46°, I 56.6
- 2θ = 15.84°, I 23.5
- 2θ = 18.52°, I 71.7
- 2θ = 20.50°, I 23.0
- 2θ = 21.47°, I 100.0
- 2θ = 27.20°, I 24.9
- 2θ = 30.05°, I 51.5
- 2θ = 32.05°, I 23.2
- 2θ = 38.09°, I 20.3

=====

No. 7
Computed powder XRD pattern
Compound: Ga5CuMo2
Radiation: a wavelength of 1.5418 Å
Structure: DFT lattice parameters and positions (PBE)
No peak broadening, texture or thermal motion is included.

```
data_Ga5CuMo2
_cell_length_a 3.6780
_cell_length_b 3.6780
_cell_length_c 8.7234
_cell_angle_alpha 90.00
_cell_angle_beta 90.00
_cell_angle_gamma 90.00
_space_group_name_H-M_alt 'P -4 m 2'
_space_group_IT_number 115
_space_group_name_Hall 'P -4 -2'
loop_
_atom_site_label
_atom_site_type_symbol
_atom_site_fract_x
_atom_site_fract_y
_atom_site_fract_z
Ga1 Ga 0.0000 0.0000 0.0000
Ga2 Ga 0.0000 0.0000 0.5000
Ga3 Ga 0.0000 0.5000 0.2219
Ga4 Ga 0.5000 0.5000 0.5000
Cu1 Cu 0.5000 0.5000 0.0000
Mo1 Mo 0.0000 0.5000 0.7376
```

Largest 10 diffraction maxima, by angle, 2θ from 10° to 90°:
- 2θ = 31.83°, I 3.3
- 2θ = 40.38°, I 100.0
- 2θ = 41.40°, I 20.8
- 2θ = 48.53°, I 3.6
- 2θ = 49.57°, I 28.1
- 2θ = 66.51°, I 19.4
- 2θ = 72.72°, I 8.6
- 2θ = 74.81°, I 11.4
- 2θ = 86.62°, I 21.0
- 2θ = 87.30°, I 9.2

=====

No. 8
Computed powder XRD pattern
Compound: GaSnPd2
Radiation: a wavelength of 1.5418 Å
Structure: DFT lattice parameters and positions (PBE)
No peak broadening, texture or thermal motion is included.

```
data_GaSnPd2
_cell_length_a 3.4472
_cell_length_b 3.4472
_cell_length_c 14.3720
_cell_angle_alpha 90.00
_cell_angle_beta 90.00
_cell_angle_gamma 120.00
_space_group_name_H-M_alt 'P 63/m m c'
_space_group_IT_number 194
_space_group_name_Hall '-P 6c 2c'
loop_
_atom_site_label
_atom_site_type_symbol
_atom_site_fract_x
_atom_site_fract_y
_atom_site_fract_z
Ga1 Ga 0.3333 0.6667 0.2500
Sn1 Sn 0.0000 0.0000 0.0000
Pd1 Pd 0.3333 0.6667 0.6396
```

Largest 10 diffraction maxima, by angle, 2θ from 10° to 90°:
- 2θ = 30.59°, I 24.2
- 2θ = 32.48°, I 100.0
- 2θ = 35.43°, I 60.1
- 2θ = 39.24°, I 65.3
- 2θ = 43.72°, I 80.0
- 2θ = 50.82°, I 18.8
- 2θ = 53.14°, I 65.8
- 2θ = 71.18°, I 18.1
- 2θ = 73.07°, I 18.4
- 2θ = 76.61°, I 33.4

=====

No. 9
Computed powder XRD pattern
Compound: ErScNi2Pb
Radiation: a wavelength of 1.5418 Å
Structure: DFT lattice parameters and positions (PBE)
No peak broadening, texture or thermal motion is included.

```
data_ErScNi2Pb
_cell_length_a 3.5384
_cell_length_b 3.9090
_cell_length_c 14.0203
_cell_angle_alpha 90.00
_cell_angle_beta 90.00
_cell_angle_gamma 90.00
_space_group_name_H-M_alt 'A m m 2'
_space_group_IT_number 38
_space_group_name_Hall 'A 2 -2'
loop_
_atom_site_label
_atom_site_type_symbol
_atom_site_fract_x
_atom_site_fract_y
_atom_site_fract_z
Er1 Er 0.0000 0.0000 0.0000
Sc1 Sc 0.0000 0.0000 0.7157
Ni1 Ni 0.5000 0.0000 0.1615
Ni2 Ni 0.5000 0.0000 0.5599
Pb1 Pb 0.5000 0.0000 0.3543
```

Largest 10 diffraction maxima, by angle, 2θ from 10° to 90°:
- 2θ = 12.63°, I 22.9
- 2θ = 28.25°, I 21.2
- 2θ = 29.80°, I 43.0
- 2θ = 34.79°, I 100.0
- 2θ = 36.07°, I 56.8
- 2θ = 38.53°, I 19.3
- 2θ = 39.55°, I 37.3
- 2θ = 46.46°, I 21.8
- 2θ = 47.46°, I 26.8
- 2θ = 60.19°, I 25.6

=====

No. 10
Computed powder XRD pattern
Compound: Tl2NiC4N4
Radiation: a wavelength of 1.5418 Å
Structure: DFT lattice parameters and positions (PBE)
No peak broadening, texture or thermal motion is included.

```
data_Tl2NiC4N4
_cell_length_a 6.1004
_cell_length_b 7.1961
_cell_length_c 9.8440
_cell_angle_alpha 90.00
_cell_angle_beta 112.97
_cell_angle_gamma 90.00
_space_group_name_H-M_alt 'P 1 21/c 1'
_space_group_IT_number 14
_space_group_name_Hall '-P 2ybc'
loop_
_atom_site_label
_atom_site_type_symbol
_atom_site_fract_x
_atom_site_fract_y
_atom_site_fract_z
Tl1 Tl 0.1914 0.1569 0.4177
Ni1 Ni 0.5000 0.0000 0.0000
C1 C 0.2422 0.6565 0.4398
C2 C 0.4936 0.0002 0.8113
N1 N 0.0821 0.7377 0.8991
N2 N 0.4897 0.0024 0.6909
```

Largest 10 diffraction maxima, by angle, 2θ from 10° to 90°:
- 2θ = 19.59°, I 47.0
- 2θ = 19.80°, I 59.9
- 2θ = 20.05°, I 100.0
- 2θ = 23.20°, I 55.6
- 2θ = 23.37°, I 43.5
- 2θ = 24.95°, I 41.9
- 2θ = 29.04°, I 79.0
- 2θ = 29.78°, I 41.4
- 2θ = 30.21°, I 45.5
- 2θ = 38.83°, I 40.1

=====

No. 11
Computed powder XRD pattern
Compound: Ta4Re25
Radiation: a wavelength of 1.5418 Å
Structure: DFT lattice parameters and positions (PBE)
No peak broadening, texture or thermal motion is included.

```
data_Ta4Re25
_cell_length_a 9.6509
_cell_length_b 9.6509
_cell_length_c 9.6509
_cell_angle_alpha 90.00
_cell_angle_beta 90.00
_cell_angle_gamma 90.00
_space_group_name_H-M_alt 'I -4 3 m'
_space_group_IT_number 217
_space_group_name_Hall 'I -4 2 3'
loop_
_atom_site_label
_atom_site_type_symbol
_atom_site_fract_x
_atom_site_fract_y
_atom_site_fract_z
Ta1 Ta 0.1788 0.1788 0.1788
Re1 Re 0.0000 0.0000 0.0000
Re2 Re 0.0406 0.3582 0.6418
Re3 Re 0.0914 0.0914 0.7149
```

Largest 10 diffraction maxima, by angle, 2θ from 10° to 90°:
- 2θ = 37.27°, I 7.2
- 2θ = 39.62°, I 100.0
- 2θ = 44.01°, I 27.0
- 2θ = 46.08°, I 9.9
- 2θ = 48.07°, I 17.5
- 2θ = 67.21°, I 5.7
- 2θ = 68.78°, I 9.7
- 2θ = 71.89°, I 26.3
- 2θ = 73.42°, I 5.7
- 2θ = 85.35°, I 9.1